Simulated powder diffraction line list of FeCo7 for CuKα, from a GGA-PBE-relaxed structure.
Neutral-atom scattering factors, no anomalous dispersion.

The 3 most intense peaks (2θ from 5° to 70°), most intense first:
- d = 2.038 Å, 44.45°, intensity 1000
- d = 1.766 Å, 51.77°, intensity 309
- d = 1.763 Å, 51.86°, intensity 153

Structure:
```
data_FeCo7
_cell_length_a 2.491
_cell_length_b 3.534
_cell_length_c 9.992
_cell_angle_alpha 90.00
_cell_angle_beta 90.06
_cell_angle_gamma 90.00
_symmetry_space_group_name_H-M 'P 1 2/m 1'
_symmetry_Int_Tables_number 10
loop_
_symmetry_equiv_pos_as_xyz
'x,y,z'
'-x,-y,-z'
'-x,y,-z'
'x,-y,z'
loop_
_atom_site_label
_atom_site_type_symbol
_atom_site_fract_x
_atom_site_fract_y
_atom_site_fract_z
_atom_site_occupancy
Fe1 Fe 0.000 0.000 0.000 1
Co1 Co 0.000 0.000 0.252 1
Co2 Co 0.000 0.000 0.500 1
Co3 Co 0.500 0.500 0.129 1
Co4 Co 0.500 0.500 0.376 1
```